The following is a theoretical powder diffraction line list of Ce4Nd2Sb3H2. It was derived from a DFT-relaxed cell (GGA-PBE, Alexandria), using λ = 1.5418 Å (Cu Kα).

Structure:
a b c (Å): 13.758 13.758 13.758
angles (deg): 160.85 160.85 27.22
Atoms (fractional coordinates):
1 Ce 0.084 0.584 0.500
2 Ce 0.416 0.916 0.500
3 Ce 0.584 0.084 0.500
4 Ce 0.916 0.416 0.500
5 Nd 0.203 0.203 0.000
6 Nd 0.797 0.797 0.000
7 Sb 0.325 0.325 0.000
8 Sb 0.500 0.500 0.000
9 Sb 0.675 0.675 0.000
10 H 0.070 0.070 0.000
11 H 0.930 0.930 0.000

The 10 most intense peaks (2θ = 10–80°), low angle first:
26.7°, I 16
28.4°, I 51
30.5°, I 25
30.7°, I 28
33.5°, I 14
34.2°, I 100
39.4°, I 54
52.6°, I 16
56.9°, I 18
68.1°, I 27